Entry 1:
For PrTm7Pb4, a PBE-relaxed structure gives the computed X-ray powder pattern in this record (copper Kα).
Lines closer than 0.1° are merged.

Top 8 peaks for 2θ = 10–80°, sorted by position:
- 2θ = 28.77°, d 3.103, I = 26
- 2θ = 29.94°, d 2.984, I = 68
- 2θ = 31.21°, d 2.866, I = 28
- 2θ = 31.45°, d 2.844, I = 87
- 2θ = 33.66°, d 2.663, I = 100
- 2θ = 36.43°, d 2.466, I = 64
- 2θ = 43.98°, d 2.059, I = 52
- 2θ = 44.90°, d 2.019, I = 22

Atomic structure:
```
12
Lattice="6.4063 -2.8444 0.0000 6.4063 2.8444 0.0000 -5.7265 0.0000 9.9549" Properties=species:S:1:pos:R:3 pbc="T T T"
Pr 0.0000 0.0000 0.0000
Tm -1.6654 0.0000 3.7508
Tm -2.3749 0.0000 8.9373
Tm 1.9511 0.0000 4.2979
Tm 6.4063 0.0000 0.0000
Tm 5.1351 0.0000 5.6570
Tm 9.4610 0.0000 1.0176
Tm 8.7516 0.0000 6.2041
Pb -0.1375 0.0000 6.7532
Pb 4.0086 0.0000 2.0942
Pb 3.0776 0.0000 7.8607
Pb 7.2237 0.0000 3.2017
```



Entry 2:
For Ac3ScAl2O9, a PBE-relaxed structure gives the computed X-ray powder pattern in this record (copper Kα).
Lines closer than 0.1° are merged.

Top 8 peaks for 2θ = 10–80°, sorted by position:
- 2θ = 22.45°, d 3.961, I = 60
- 2θ = 31.95°, d 2.801, I = 100
- 2θ = 39.43°, d 2.285, I = 28
- 2θ = 45.82°, d 1.981, I = 30
- 2θ = 51.60°, d 1.771, I = 29
- 2θ = 56.83°, d 1.620, I = 10
- 2θ = 56.98°, d 1.616, I = 30
- 2θ = 71.49°, d 1.320, I = 12

Atomic structure:
```
15
Lattice="5.5957 0.0000 0.0000 -2.7979 4.8460 0.0000 0.0000 0.0000 6.8754" Properties=species:S:1:pos:R:3 pbc="T T T"
Ac 0.0000 0.0000 0.0000
Ac 0.0000 3.2307 4.6318
Ac 2.7979 1.6153 2.2437
Sc 0.0000 0.0000 3.4377
Al 0.0000 3.2307 1.1200
Al 2.7979 1.6153 5.7554
O -1.3989 2.4230 0.0000
O 0.0000 1.6772 2.2207
O -1.3453 4.0074 2.2207
O 1.4525 0.8386 4.6547
O 2.7979 0.0000 0.0000
O 1.3989 2.4230 0.0000
O 1.3453 4.0074 2.2207
O 4.1432 0.8386 4.6547
O 2.7979 3.1688 4.6547
```



Entry 3:
For PrEr4Ga4, a PBE-relaxed structure gives the computed X-ray powder pattern in this record (copper Kα).
Lines closer than 0.1° are merged.

Top 8 peaks for 2θ = 10–80°, sorted by position:
- 2θ = 26.46°, d 3.368, I = 52
- 2θ = 30.70°, d 2.913, I = 100
- 2θ = 32.11°, d 2.788, I = 56
- 2θ = 37.72°, d 2.385, I = 18
- 2θ = 42.70°, d 2.118, I = 32
- 2θ = 43.95°, d 2.060, I = 36
- 2θ = 47.24°, d 1.924, I = 24
- 2θ = 51.47°, d 1.775, I = 18

Atomic structure:
```
18
Lattice="9.2103 0.0000 0.0000 0.0000 9.2103 0.0000 0.0000 0.0000 5.8501" Properties=species:S:1:pos:R:3 pbc="T T T"
Pr 2.3026 2.3026 1.4625
Pr 6.9077 6.9077 4.3876
Er 0.7366 6.0219 0.7661
Er 1.4167 8.4737 3.6912
Er 3.1885 5.3418 3.6912
Er 3.8685 7.7936 0.7661
Er 5.3418 1.4167 5.0840
Er 6.0219 3.8685 2.1589
Er 7.7936 0.7366 2.1589
Er 8.4737 3.1885 5.0840
Ga 0.2908 5.6170 3.6695
Ga 1.0118 8.9195 0.7444
Ga 3.5934 4.8960 0.7444
Ga 4.3144 8.1985 3.6695
Ga 4.8960 1.0118 2.1806
Ga 5.6170 4.3144 5.1057
Ga 8.1985 0.2908 5.1057
Ga 8.9195 3.5934 2.1806
```



Entry 4:
For CsTbTiSe4, a PBE-relaxed structure gives the computed X-ray powder pattern in this record (copper Kα).
Lines closer than 0.1° are merged.

Top 8 peaks for 2θ = 10–80°, sorted by position:
- 2θ = 18.46°, d 4.806, I = 67
- 2θ = 24.90°, d 3.576, I = 59
- 2θ = 27.90°, d 3.198, I = 53
- 2θ = 28.50°, d 3.132, I = 57
- 2θ = 29.58°, d 3.019, I = 100
- 2θ = 30.62°, d 2.919, I = 71
- 2θ = 31.42°, d 2.847, I = 60
- 2θ = 31.76°, d 2.818, I = 54

Atomic structure:
```
14
Lattice="6.8586 0.0000 0.0000 0.0000 7.1523 0.0000 -3.2153 0.0000 9.4071" Properties=species:S:1:pos:R:3 pbc="T T T"
Cs 0.2281 1.7881 4.1545
Cs 3.4152 5.3642 5.2526
Tb -1.0993 1.7881 9.0039
Tb 4.7426 5.3642 0.4032
Ti 1.3254 5.3642 1.4980
Ti 2.3179 1.7881 7.9091
Se -2.6299 5.3642 8.6857
Se -0.5753 5.3642 2.9213
Se 0.7586 3.6141 7.5767
Se 0.7586 7.1144 7.5767
Se 2.8847 0.0380 1.8304
Se 2.8847 3.5382 1.8304
Se 4.2186 1.7881 6.4858
Se 6.2732 1.7881 0.7215
```



Entry 5:
For TbSm2Y4Ho2, a PBE-relaxed structure gives the computed X-ray powder pattern in this record (copper Kα).
Lines closer than 0.1° are merged.

Top 8 peaks for 2θ = 10–80°, sorted by position:
- 2θ = 28.82°, d 3.098, I = 47
- 2θ = 31.09°, d 2.877, I = 47
- 2θ = 31.84°, d 2.811, I = 100
- 2θ = 33.53°, d 2.673, I = 86
- 2θ = 40.14°, d 2.246, I = 20
- 2θ = 50.67°, d 1.802, I = 36
- 2θ = 57.97°, d 1.591, I = 18
- 2θ = 60.65°, d 1.527, I = 42

Atomic structure:
```
9
Lattice="9.3594 -1.8020 0.0000 9.3594 1.8020 0.0000 -4.1660 0.0000 8.6304" Properties=species:S:1:pos:R:3 pbc="T T T"
Tb 0.0000 0.0000 0.0000
Sm 0.0005 0.0000 5.7597
Sm 14.5524 0.0000 2.8708
Y 2.0756 0.0000 2.8707
Y 6.2298 0.0000 5.7623
Y 8.3230 0.0000 2.8682
Y 12.4773 0.0000 5.7597
Ho 2.0757 0.0000 8.6247
Ho 12.4772 0.0000 0.0058
```



Entry 6:
For NaAlC, a PBE-relaxed structure gives the computed X-ray powder pattern in this record (copper Kα).
Lines closer than 0.1° are merged.

Top 8 peaks for 2θ = 10–80°, sorted by position:
- 2θ = 32.15°, d 2.785, I = 100
- 2θ = 32.56°, d 2.750, I = 53
- 2θ = 33.79°, d 2.653, I = 25
- 2θ = 39.17°, d 2.300, I = 42
- 2θ = 45.17°, d 2.007, I = 25
- 2θ = 46.04°, d 1.971, I = 39
- 2θ = 46.87°, d 1.938, I = 28
- 2θ = 52.86°, d 1.732, I = 74

Atomic structure:
```
12
Lattice="6.0023 0.0000 0.0000 0.0000 3.4634 0.0000 -1.7692 0.0000 9.6914" Properties=species:S:1:pos:R:3 pbc="T T T"
Na 0.0027 0.0000 3.0600
Na 1.2293 1.7317 6.6314
Na 3.0038 1.7317 3.0600
Na 4.2305 0.0000 6.6314
Al -0.7699 1.7317 8.7931
Al 2.0019 0.0000 0.8983
Al 2.2313 0.0000 8.7931
Al 5.0030 1.7317 0.8983
C 1.0011 1.7317 1.2901
C 0.2309 0.0000 8.4013
C 4.0023 0.0000 1.2901
C 3.2320 1.7317 8.4013
```



Entry 7:
For Ti3Be9Co2, a PBE-relaxed structure gives the computed X-ray powder pattern in this record (copper Kα).
Lines closer than 0.1° are merged.

Top 8 peaks for 2θ = 10–80°, sorted by position:
- 2θ = 16.33°, d 5.429, I = 42
- 2θ = 26.18°, d 3.404, I = 34
- 2θ = 27.69°, d 3.221, I = 82
- 2θ = 29.37°, d 3.041, I = 32
- 2θ = 35.98°, d 2.496, I = 32
- 2θ = 43.23°, d 2.093, I = 100
- 2θ = 44.69°, d 2.028, I = 48
- 2θ = 48.03°, d 1.894, I = 32

Atomic structure:
```
14
Lattice="-1.7922 3.6718 5.4291 1.7922 -3.6718 5.4291 1.7922 3.6718 -5.4291" Properties=species:S:1:pos:R:3 pbc="T T T"
Ti 0.0000 0.0000 0.0000
Ti 0.0000 0.0000 3.2880
Ti 0.0000 0.0000 7.5703
Be 1.7922 -1.0562 1.8153
Be 1.7922 -1.6254 4.0050
Be 1.7922 1.0562 1.8153
Be 0.0000 2.0463 1.4242
Be 0.0000 3.6718 0.0000
Be 1.7922 1.6254 4.0050
Be 0.0000 2.6155 3.6138
Be 0.0000 5.2972 1.4242
Be 0.0000 4.7280 3.6138
Co 1.7922 2.2666 0.0000
Co 0.0000 1.4052 5.4291
```



Entry 8:
For LiHo2Ag3, a PBE-relaxed structure gives the computed X-ray powder pattern in this record (copper Kα).
Lines closer than 0.1° are merged.

Top 8 peaks for 2θ = 10–80°, sorted by position:
- 2θ = 21.81°, d 4.074, I = 24
- 2θ = 35.97°, d 2.497, I = 100
- 2θ = 36.13°, d 2.486, I = 95
- 2θ = 42.51°, d 2.127, I = 12
- 2θ = 51.90°, d 1.762, I = 33
- 2θ = 64.66°, d 1.442, I = 17
- 2θ = 64.76°, d 1.439, I = 33
- 2θ = 65.07°, d 1.433, I = 17

Atomic structure:
```
12
Lattice="4.9935 0.0000 0.0000 -2.4968 4.3245 0.0000 0.0000 0.0000 12.1549" Properties=species:S:1:pos:R:3 pbc="T T T"
Li 0.0000 2.8830 2.0441
Li 2.4968 1.4415 10.1108
Ho 0.0000 0.0000 0.0000
Ho 0.0000 0.0000 6.0774
Ho 0.0000 2.8830 8.2476
Ho 2.4968 1.4415 3.9072
Ag 0.0000 0.0000 3.0075
Ag 0.0000 0.0000 9.1474
Ag 0.0000 2.8830 5.0826
Ag 0.0000 2.8830 11.2807
Ag 2.4968 1.4415 0.8742
Ag 2.4968 1.4415 7.0722
```



Entry 9:
For La2HfHg, a PBE-relaxed structure gives the computed X-ray powder pattern in this record (copper Kα).
Lines closer than 0.1° are merged.

Top 8 peaks for 2θ = 10–80°, sorted by position:
- 2θ = 31.73°, d 2.820, I = 100
- 2θ = 35.95°, d 2.498, I = 36
- 2θ = 38.47°, d 2.340, I = 15
- 2θ = 51.76°, d 1.766, I = 13
- 2θ = 53.67°, d 1.708, I = 23
- 2θ = 62.00°, d 1.497, I = 30
- 2θ = 65.39°, d 1.427, I = 13
- 2θ = 66.30°, d 1.410, I = 12

Atomic structure:
```
4
Lattice="3.5327 0.0000 0.0000 0.0000 3.5327 0.0000 0.0000 0.0000 9.3608" Properties=species:S:1:pos:R:3 pbc="T T T"
La 0.0000 0.0000 2.3076
La 0.0000 0.0000 7.0533
Hf 1.7663 1.7663 4.6804
Hg 1.7663 1.7663 0.0000
```



Entry 10:
For In12Hg7Pb, a PBE-relaxed structure gives the computed X-ray powder pattern in this record (copper Kα).
Lines closer than 0.1° are merged.

Top 8 peaks for 2θ = 10–80°, sorted by position:
- 2θ = 30.50°, d 2.931, I = 37
- 2θ = 33.90°, d 2.644, I = 100
- 2θ = 35.60°, d 2.522, I = 34
- 2θ = 37.92°, d 2.372, I = 24
- 2θ = 44.28°, d 2.046, I = 14
- 2θ = 55.23°, d 1.663, I = 19
- 2θ = 60.66°, d 1.527, I = 15
- 2θ = 68.05°, d 1.378, I = 16

Atomic structure:
```
20
Lattice="6.9956 4.0389 3.2284 -6.9956 4.0389 3.2284 0.0000 -8.0779 3.2284" Properties=species:S:1:pos:R:3 pbc="T T T"
In -0.7841 -2.5705 2.5118
In -4.9806 1.7341 4.0053
In -3.9920 -3.4463 5.6799
In -1.8340 1.9643 2.5118
In 0.9885 -5.1803 4.0053
In 2.6181 0.6062 2.5118
In -2.6181 -0.6062 7.1735
In -0.9885 5.1803 5.6799
In 1.8340 -1.9643 7.1735
In 3.9921 3.4463 4.0053
In 4.9806 -1.7341 5.6799
In 0.7841 2.5705 7.1735
Hg 0.0000 0.0000 0.0000
Hg -3.1058 -0.6803 3.9952
Hg -0.9637 -3.0298 5.6901
Hg 2.1421 -2.3495 3.9952
Hg -2.1421 2.3495 5.6901
Hg 0.9637 3.0298 3.9952
Hg 3.1058 0.6803 5.6901
Pb 0.0000 0.0000 4.8426
```



Entry 11:
For Ta2Bi2O9, a PBE-relaxed structure gives the computed X-ray powder pattern in this record (copper Kα).
Lines closer than 0.1° are merged.

Top 8 peaks for 2θ = 10–80°, sorted by position:
- 2θ = 23.38°, d 3.804, I = 29
- 2θ = 25.66°, d 3.472, I = 52
- 2θ = 29.73°, d 3.005, I = 100
- 2θ = 34.30°, d 2.614, I = 19
- 2θ = 46.04°, d 1.971, I = 16
- 2θ = 47.84°, d 1.901, I = 15
- 2θ = 55.13°, d 1.666, I = 22
- 2θ = 58.63°, d 1.574, I = 13

Atomic structure:
```
26
Lattice="12.0087 -2.6141 0.0000 12.0087 2.6141 0.0000 0.0000 0.0000 5.6993" Properties=species:S:1:pos:R:3 pbc="T T T"
Ta 10.1976 1.3174 2.8497
Ta 13.8197 1.3174 2.8497
Ta 10.1976 -1.3174 0.0000
Ta 13.8197 -1.3174 0.0000
Bi 7.4139 1.3087 0.7533
Bi 16.6034 1.3087 0.7533
Bi 7.4139 -1.3087 3.6030
Bi 16.6034 -1.3087 3.6030
O 1.5155 0.1532 1.4395
O 3.7623 0.6255 5.5459
O 1.5155 -0.1532 4.2892
O 6.4716 0.4902 4.5610
O 3.7623 -0.6255 2.6962
O 9.4708 0.2151 1.0828
O 6.4716 -0.4902 1.7114
O 12.0087 0.6771 2.6154
O 9.4708 -0.2151 3.9325
O 14.5466 0.2151 1.0828
O 12.0087 -0.6771 5.4650
O 17.5458 0.4902 4.5610
O 14.5466 -0.2151 3.9325
O 20.2550 0.6255 5.5459
O 17.5458 -0.4902 1.7114
O 22.5018 0.1532 1.4395
O 20.2550 -0.6255 2.6962
O 22.5018 -0.1532 4.2892
```



Entry 12:
For Pm2Cd5Ag3, a PBE-relaxed structure gives the computed X-ray powder pattern in this record (copper Kα).
Lines closer than 0.1° are merged.

Top 8 peaks for 2θ = 10–80°, sorted by position:
- 2θ = 31.71°, d 2.822, I = 22
- 2θ = 32.21°, d 2.779, I = 100
- 2θ = 32.54°, d 2.751, I = 84
- 2θ = 35.06°, d 2.560, I = 33
- 2θ = 35.91°, d 2.501, I = 39
- 2θ = 36.25°, d 2.478, I = 22
- 2θ = 37.25°, d 2.414, I = 88
- 2θ = 64.00°, d 1.455, I = 20

Atomic structure:
```
20
Lattice="2.4135 -13.1559 0.0000 2.4135 13.1559 0.0000 0.0000 0.0000 7.3725" Properties=species:S:1:pos:R:3 pbc="T T T"
Pm 2.4135 12.7181 3.6862
Pm 2.4135 4.6250 4.2594
Pm 2.4135 -4.6250 0.5732
Pm 2.4135 -12.7181 0.0000
Cd 2.4135 10.3675 6.1354
Cd 2.4135 7.8552 3.0085
Cd 2.4135 7.5287 5.9597
Cd 2.4135 3.2427 0.0587
Cd 2.4135 1.3492 5.0883
Cd 2.4135 -1.3492 1.4021
Cd 2.4135 -3.2427 3.7450
Cd 2.4135 -7.5287 2.2735
Cd 2.4135 -7.8552 6.6947
Cd 2.4135 -10.3675 2.4491
Ag 2.4135 10.3362 1.6776
Ag 2.4135 5.9768 0.8755
Ag 2.4135 1.3417 2.1777
Ag 2.4135 -1.3417 5.8639
Ag 2.4135 -5.9768 4.5617
Ag 2.4135 -10.3362 5.3638
```



Entry 13:
For SeBrCl, a PBE-relaxed structure gives the computed X-ray powder pattern in this record (copper Kα).
Lines closer than 0.1° are merged.

Top 8 peaks for 2θ = 10–80°, sorted by position:
- 2θ = 17.72°, d 5.006, I = 100
- 2θ = 19.62°, d 4.524, I = 98
- 2θ = 23.40°, d 3.802, I = 81
- 2θ = 24.52°, d 3.630, I = 44
- 2θ = 28.42°, d 3.140, I = 22
- 2θ = 29.40°, d 3.038, I = 26
- 2θ = 35.85°, d 2.505, I = 73
- 2θ = 41.35°, d 2.183, I = 30

Atomic structure:
```
3
Lattice="4.6928 0.0000 0.0000 0.7611 5.0137 0.0000 1.1581 0.0357 5.0056" Properties=species:S:1:pos:R:3 pbc="T T T"
Se 0.0000 0.0000 0.0000
Br 4.3076 2.4066 0.1793
Cl 2.1615 4.9114 2.8257
```